The following is a theoretical powder diffractogram of Cs2Hg3Ge2S8. It was derived from a GGA-PBE-relaxed structure, using Cu Kα, 1.54184 Å.

Most intense lines, 2θ = 10–90°, sorted by position:
h k l  2θ (°)  I_rel
0 1 0  12.32  93
1 1 0  21.51  89
1 0 -2  22.58  68
1 -2 1  23.36  80
0 1 2  26.89  48
2 -1 1  28.50  100

Structural model:
```
data_Cs2Hg3Ge2S8
_space_group_name_H-M_alt 'P -1'
_space_group_IT_number 2
_cell_length_a 6.7004
_cell_length_b 8.0617
_cell_length_c 9.6284
_cell_angle_alpha 109.50
_cell_angle_beta 91.67
_cell_angle_gamma 107.25
loop_
_space_group_symop_operation_xyz
'x,y,z'
'-x,-y,-z'
loop_
_atom_site_label
_atom_site_type_symbol
_atom_site_fract_x
_atom_site_fract_y
_atom_site_fract_z
Cs1 Cs 0.0986 0.4585 0.2350
Hg1 Hg 0.3077 0.0771 0.3955
Hg2 Hg 0.5000 0.0000 0.0000
Ge1 Ge 0.2615 0.1476 0.7606
S1 S 0.0598 0.8750 0.1680
S2 S 0.2863 0.8715 0.6282
S3 S 0.3402 0.3408 0.6343
S4 S 0.4812 0.2820 0.9807
```